No. 1
# CeSb2Pt2
Theoretical powder X-ray diffraction pattern, CuKα. Input: the GGA-PBE geometry in Alexandria.
Intensities are scaled so that the largest is 100.

Principal peaks in the range 2θ = 10–80°, most intense first:
2θ = 31.7°, rel. 100.0; 2θ = 38.9°, rel. 75.4; 2θ = 36.6°, rel. 64.1; 2θ = 32.9°, rel. 61.3; 2θ = 32.2°, rel. 57.1; 2θ = 32.5°, rel. 43.5; 2θ = 54.5°, rel. 41.8; 2θ = 44.5°, rel. 37.6; 2θ = 45.2°, rel. 35.7; 2θ = 17.5°, rel. 32.7

Crystal structure
Unit cell a=4.9106 b=4.6266 c=10.1176 alpha=90.00 beta=91.23 gamma=90.00
Space group P2_1/m (No. 11)
Asymmetric unit:
Ce: 0.2287 0.2500 0.2387 x2
Sb: 0.2516 0.7500 0.4900 x2
Sb: 0.3183 0.2500 0.8786 x2
Pt: 0.1797 0.7500 0.9985 x2
Pt: 0.2502 0.2500 0.6219 x2

No. 2
# NdEr2Tm
Theoretical powder X-ray diffraction pattern, CuKα. Input: the GGA-PBE geometry in Alexandria.
Intensities are scaled so that the largest is 100.

Principal peaks in the range 2θ = 10–80°, most intense first:
2θ = 32.7°, rel. 100.0; 2θ = 31.7°, rel. 24.1; 2θ = 28.5°, rel. 23.8; 2θ = 60.9°, rel. 22.6; 2θ = 57.1°, rel. 20.5; 2θ = 50.5°, rel. 19.8; 2θ = 61.5°, rel. 16.5; 2θ = 43.2°, rel. 15.6; 2θ = 79.7°, rel. 7.8; 2θ = 68.6°, rel. 4.0

Crystal structure
Unit cell a=6.2578 b=7.2335 c=11.2840 alpha=90.00 beta=90.03 gamma=90.00
Space group P2/c (No. 13)
Asymmetric unit:
Nd: 0.1677 0.2497 0.3772 x4
Er: 0.1684 0.2492 0.8733 x4
Er: 0.3347 0.4992 0.6254 x4
Tm: 0.3349 0.0008 0.6253 x4

No. 3
# CeAg5Cl12
Theoretical powder X-ray diffraction pattern, CuKα. Input: the GGA-PBE geometry in Alexandria.
Intensities are scaled so that the largest is 100.

Principal peaks in the range 2θ = 10–80°, most intense first:
2θ = 13.7°, rel. 100.0; 2θ = 32.0°, rel. 30.5; 2θ = 27.3°, rel. 24.7; 2θ = 26.2°, rel. 22.0; 2θ = 34.7°, rel. 21.8; 2θ = 42.0°, rel. 20.1; 2θ = 47.2°, rel. 16.6; 2θ = 36.2°, rel. 13.4; 2θ = 32.8°, rel. 12.0; 2θ = 42.5°, rel. 10.5

Crystal structure
Unit cell a=6.5616 b=12.1946 c=13.0485 alpha=90.00 beta=98.79 gamma=90.00
Space group C2/m (No. 12)
Asymmetric unit:
Ce: 0.0000 0.0000 0.0000 x2
Ag: 0.0000 0.1667 0.5000 x4
Ag: 0.0000 0.3419 0.0000 x4
Ag: 0.0000 0.5000 0.5000 x2
Cl: 0.1623 0.0000 0.3915 x4
Cl: 0.1623 0.3332 0.3914 x8
Cl: 0.2049 0.1582 0.1149 x8
Cl: 0.2235 0.5000 0.1278 x4

What did the second record say?
# NdEr2Tm
Theoretical powder X-ray diffraction pattern, CuKα. Input: the GGA-PBE geometry in Alexandria.
Intensities are scaled so that the largest is 100.

Principal peaks in the range 2θ = 10–80°, most intense first:
2θ = 32.7°, rel. 100.0; 2θ = 31.7°, rel. 24.1; 2θ = 28.5°, rel. 23.8; 2θ = 60.9°, rel. 22.6; 2θ = 57.1°, rel. 20.5; 2θ = 50.5°, rel. 19.8; 2θ = 61.5°, rel. 16.5; 2θ = 43.2°, rel. 15.6; 2θ = 79.7°, rel. 7.8; 2θ = 68.6°, rel. 4.0

Crystal structure
Unit cell a=6.2578 b=7.2335 c=11.2840 alpha=90.00 beta=90.03 gamma=90.00
Space group P2/c (No. 13)
Asymmetric unit:
Nd: 0.1677 0.2497 0.3772 x4
Er: 0.1684 0.2492 0.8733 x4
Er: 0.3347 0.4992 0.6254 x4
Tm: 0.3349 0.0008 0.6253 x4